No. 1
Starting from DFT lattice parameters and positions (GGA-PBE), the X-ray diffraction stick pattern of Ac3SmSb4 was computed for Cu Kα X-rays.
Peak positions follow from Bragg's law for the DFT cell and can differ from measured ones.

Principal peaks in the range 10 to 90 degrees two-theta, low angle first:
2theta  I_rel
23.1  12
26.7  100
38.1  78
45.0  7
47.1  29
55.0  14
62.2  37
68.9  27
81.5  9
87.7  17

Cell and atoms:
a = 9.4463 Å, b = 13.3487 Å, c = 4.7254 Å
α = 90.00°, β = 90.00°, γ = 90.00°
Space group Cmmm (No. 65)
Inequivalent atoms, fractional coordinates:
1 Ac 0.0000 0.0000 0.0000 x2
2 Ac 0.2500 0.2500 0.5000 x4
3 Sm 0.0000 0.5000 0.0000 x2
4 Sb 0.0000 0.2562 0.0000 x4
5 Sb 0.2384 0.5000 0.5000 x4

***

No. 2
Starting from DFT lattice parameters and positions (GGA-PBE), the X-ray diffraction stick pattern of Tb8Cd2Ru was computed for Cu Kα X-rays.
Peak positions follow from Bragg's law for the DFT cell and can differ from measured ones.

Principal peaks in the range 10 to 90 degrees two-theta, low angle first:
2theta  I_rel
28.3  25
29.8  42
30.8  82
31.3  35
32.0  81
32.9  32
33.2  100
34.1  97
35.4  56
59.9  23

Cell and atoms:
a = 17.4794 Å, b = 5.4035 Å, c = 6.9816 Å
α = 90.00°, β = 110.56°, γ = 90.00°
Space group C2/m (No. 12)
Inequivalent atoms, fractional coordinates:
1 Tb 0.0195 0.0000 0.2850 x4
2 Tb 0.0936 0.5000 0.9161 x4
3 Tb 0.1505 0.5000 0.4444 x4
4 Tb 0.1955 0.0000 0.7776 x4
5 Cd 0.1826 0.0000 0.2006 x4
6 Ru 0.0000 0.5000 0.5000 x2

***

No. 3
Starting from DFT lattice parameters and positions (GGA-PBE), the X-ray diffraction stick pattern of Rb2ReO4 was computed for Cu Kα X-rays.
Peak positions follow from Bragg's law for the DFT cell and can differ from measured ones.

Principal peaks in the range 10 to 90 degrees two-theta, low angle first:
2theta  I_rel
17.7  63
21.6  31
23.7  37
25.5  100
27.0  75
27.3  67
29.6  47
36.2  36
37.5  38
40.4  49

Cell and atoms:
a = 6.0682 Å, b = 6.6134 Å, c = 8.0690 Å
α = 90.00°, β = 106.80°, γ = 90.00°
Space group P2_1/m (No. 11)
Inequivalent atoms, fractional coordinates:
1 Rb 0.0881 0.2500 0.1156 x2
2 Rb 0.2194 0.7500 0.5133 x2
3 Re 0.3738 0.2500 0.7400 x2
4 O 0.2324 0.0327 0.7992 x4
5 O 0.3037 0.2500 0.5036 x2
6 O 0.3170 0.7500 0.1858 x2

***

No. 4
Starting from DFT lattice parameters and positions (GGA-PBE), the X-ray diffraction stick pattern of LaNi6C was computed for Cu Kα X-rays.
Peak positions follow from Bragg's law for the DFT cell and can differ from measured ones.

Principal peaks in the range 10 to 90 degrees two-theta, low angle first:
2theta  I_rel
33.3  53
39.1  32
39.9  21
40.4  100
42.1  41
52.9  12
54.0  29
64.6  16
72.2  22
86.1  14

Cell and atoms:
a = 5.2351 Å, b = 5.2351 Å, c = 13.3770 Å
α = 90.00°, β = 90.00°, γ = 120.00°
Space group R-3m (No. 166, hexagonal axes)
Inequivalent atoms, fractional coordinates:
1 La 0.0000 0.0000 0.0000 x3
2 Ni 0.0160 0.5080 0.9093 x18
3 C 0.0000 0.0000 0.5000 x3

***

Question: Number 3 is which compound?
Answer: Rb2ReO4